Entry 1:
Simulated powder XRD pattern of BaCo3Br12 for Cu Kα (λ = 1.5418 Å), from a cell relaxed with PBE.
Intensities are scaled so that the largest is 100.

Atomic structure:
a = 11.8015 Å, b = 11.8015 Å, c = 35.6065 Å
α = 90.00°, β = 90.00°, γ = 120.00°
Space group R3c (No. 161, hexagonal axes)
Unique sites:
Ba  0.0000  0.0000  0.0000
Co  0.0568  0.3436  0.0540
Br  0.1626  0.3358  0.9996
Br  0.1722  0.3659  0.3793
Br  0.2041  0.4317  0.7335
Br  0.2061  0.4165  0.6024

Peak list (10 most intense, 2θ = 10–90°, by angle)
h k l	2θ/deg	I (rel.)
0 0 6	14.96	63.2
1 1 3	16.78	41.4
1 1 6	21.23	25.1
3 0 0	26.16	57.0
2 0 8	26.56	78.0
2 2 0	30.28	100.0
1 2 8	30.64	85.7
3 1 2	31.97	23.3
2 1 10	34.25	22.3
2 3 14	53.13	27.0

=====

Entry 2:
Simulated powder XRD pattern of Pm5DyEr3 for Cu Kα (λ = 1.5418 Å), from a cell relaxed with PBE.
Intensities are scaled so that the largest is 100.

Atomic structure:
a = 17.484 Å, b = 9.321 Å, c = 7.288 Å
α = 90.00°, β = 90.00°, γ = 90.00°
Space group Cmcm (No. 63)
Unique sites:
Pm  0.000  0.197  0.250
Pm  0.164  0.176  0.001
Dy  0.000  0.172  0.750
Er  0.000  0.500  0.000
Er  0.178  0.499  0.750

Peak list (10 most intense, 2θ = 10–90°, by angle)
h k l	2θ/deg	I (rel.)
1 3 0	29.19	57.8
3 1 2	30.48	100.0
6 0 0	30.68	59.7
2 2 2	32.84	58.7
4 2 2	37.48	31.3
5 3 0	38.77	30.9
8 2 2	52.63	18.1
9 1 2	54.42	17.3
3 5 2	57.76	29.2
6 0 4	59.87	17.8

=====

Entry 3:
Simulated powder XRD pattern of Th2Sc3 for Cu Kα (λ = 1.5418 Å), from a cell relaxed with PBE.
Intensities are scaled so that the largest is 100.

Atomic structure:
a = 11.497 Å, b = 5.793 Å, c = 8.898 Å
α = 90.00°, β = 110.41°, γ = 90.00°
Space group C2/c (No. 15)
Unique sites:
Th  0.097  0.186  0.444
Sc  0.000  0.333  0.750
Sc  0.207  0.325  0.152

Peak list (10 most intense, 2θ = 10–90°, by angle)
h k l	2θ/deg	I (rel.)
1 1 -1	18.83	54.4
0 0 2	21.31	19.6
3 1 -1	27.99	23.5
1 1 2	29.83	14.5
0 2 0	30.87	17.3
4 0 -2	32.69	35.6
1 1 -3	34.11	100.0
2 2 -1	35.04	31.5
1 3 2	54.26	15.6
3 3 -4	64.80	16.8

=====

Entry 4:
Simulated powder XRD pattern of Sr2Ni12Ge7 for Cu Kα (λ = 1.5418 Å), from a cell relaxed with PBE.
Intensities are scaled so that the largest is 100.

Atomic structure:
a = 9.4949 Å, b = 9.4949 Å, c = 3.8820 Å
α = 90.00°, β = 90.00°, γ = 120.00°
Space group P-6 (No. 174)
Unique sites:
Sr  0.0000  0.0000  0.0000
Sr  0.3333  0.6667  0.5000
Ni  0.0301  0.2841  0.5000
Ni  0.1217  0.7416  0.0000
Ni  0.3864  0.1920  0.0000
Ni  0.5665  0.4271  0.5000
Ge  0.0482  0.4537  0.0000
Ge  0.2706  0.2442  0.5000
Ge  0.6667  0.3333  0.0000

Peak list (10 most intense, 2θ = 10–90°, by angle)
h k l	2θ/deg	I (rel.)
3 0 0	32.67	12.2
2 1 1	37.05	100.0
1 3 0	39.51	17.1
3 0 1	40.28	14.6
2 2 1	44.75	24.2
1 3 1	46.16	47.0
0 0 2	46.80	37.4
1 4 0	50.89	17.8
3 2 1	54.05	19.4
5 2 0	71.64	19.0

=====

Entry 5:
Simulated powder XRD pattern of Sm12CdNi5 for Cu Kα (λ = 1.5418 Å), from a cell relaxed with PBE.
Intensities are scaled so that the largest is 100.

Atomic structure:
a = 9.528 Å, b = 9.824 Å, c = 10.098 Å
α = 90.00°, β = 90.00°, γ = 90.00°
Space group Immm (No. 71)
Unique sites:
Sm  0.000  0.190  0.210
Sm  0.194  0.500  0.177
Sm  0.203  0.320  0.500
Cd  0.000  0.000  0.500
Ni  0.000  0.000  0.000
Ni  0.000  0.367  0.000
Ni  0.000  0.500  0.376

Peak list (10 most intense, 2θ = 10–90°, by angle)
h k l	2θ/deg	I (rel.)
1 0 3	28.08	21.9
0 3 1	28.66	24.4
3 1 0	29.55	31.0
2 2 2	31.60	71.9
1 3 2	33.91	100.0
2 3 1	34.40	21.4
3 2 1	34.79	26.6
4 0 0	37.77	15.9
2 5 3	57.67	17.2
5 3 2	58.99	26.3

=====

Entry 6:
Simulated powder XRD pattern of Pr6CdRh3 for Cu Kα (λ = 1.5418 Å), from a cell relaxed with PBE.
Intensities are scaled so that the largest is 100.

Atomic structure:
a = 11.538 Å, b = 13.300 Å, c = 7.346 Å
α = 90.00°, β = 90.00°, γ = 90.00°
Space group Cmc2_1 (No. 36)
Unique sites:
Pr  0.000  0.071  0.000
Pr  0.000  0.210  0.529
Pr  0.159  0.469  0.465
Pr  0.221  0.281  0.847
Cd  0.000  0.328  0.140
Rh  0.000  0.387  0.760
Rh  0.169  0.083  0.684

Peak list (10 most intense, 2θ = 10–90°, by angle)
h k l	2θ/deg	I (rel.)
2 0 2	28.81	30.0
0 4 1	29.49	58.8
4 0 0	31.02	27.2
2 2 2	31.86	37.0
3 3 1	33.16	69.8
2 4 1	33.41	42.5
4 2 0	33.87	27.1
3 1 2	34.43	100.0
0 4 2	36.45	21.2
0 2 3	39.20	21.7